# 1
Structure and theoretical X-ray powder pattern of Cs2UHgS4 (DFT lattice parameters and positions (GGA-PBE); Cu Kα (λ = 1.5418 Å)).
Intensities are scaled so that the largest is 100.

Top 10 peaks for 2θ = 5–70°, by angle:
d [Å]	Position (°2θ)	I_rel
6.891	12.8	78
6.626	13.4	53
4.034	22.0	43
3.874	23.0	100
3.730	23.9	26
2.971	30.1	57
2.711	33.0	24
2.589	34.6	41
2.297	39.2	34
2.179	41.4	44

Structure:
```
Cs2UHgS4
1.0
0.000 8.067 13.251
3.195 0.000 13.251
3.195 8.067 0.000
Cs U Hg S
4 2 2 8
Direct
0.051 0.051 0.699
0.301 0.301 0.949
0.699 0.699 0.051
0.949 0.949 0.301
0.125 0.125 0.125
0.875 0.875 0.875
0.375 0.375 0.375
0.625 0.625 0.625
0.138 0.232 0.314
0.183 0.686 0.768
0.232 0.138 0.817
0.314 0.817 0.138
0.686 0.183 0.862
0.768 0.862 0.183
0.817 0.314 0.232
0.862 0.768 0.686
```

---

# 2
Structure and theoretical X-ray powder pattern of Cs2HgSb (DFT lattice parameters and positions (GGA-PBE); Cu Kα (λ = 1.5418 Å)).
Intensities are scaled so that the largest is 100.

Top 10 peaks for 2θ = 5–70°, by angle:
d [Å]	Position (°2θ)	I_rel
5.619	15.8	47
4.300	20.7	51
3.298	27.0	100
3.218	27.7	48
3.199	27.9	23
2.583	34.7	35
2.570	34.9	54
2.014	45.0	40
1.873	48.6	20
1.735	52.8	25

Structure:
```
Cs2HgSb
1.0
6.436 0.000 0.000
0.000 11.521 0.000
0.000 0.000 5.780
Cs Hg Sb
4 2 2
Direct
0.000 0.180 0.000
0.000 0.820 0.000
0.500 0.320 0.500
0.500 0.680 0.500
0.000 0.500 0.200
0.500 0.000 0.700
0.000 0.500 0.701
0.500 0.000 0.201
```